Starting from DFT lattice parameters and positions (PBE+U), the powder diffractogram of NiAg2C2O6 was computed for Cu Kα X-rays.
Lines closer than 0.1° are merged.

```
NiAg2C2O6
1.0
4.3425 -2.5514 0.0000
4.3425 2.5514 0.0000
-3.0662 0.0000 5.7388
Ni Ag C O
1 2 2 6
direct
0.0000 0.0000 0.0000
0.1881 0.1881 0.6322
0.8119 0.8119 0.3678
0.4320 0.4320 0.2129
0.5680 0.5680 0.7871
0.2610 0.6991 0.7564
0.2735 0.2735 0.1706
0.3009 0.7390 0.2436
0.6991 0.2610 0.7564
0.7265 0.7265 0.8294
0.7390 0.3009 0.2436
```

Largest 12 diffraction maxima, low angle first, 2θ = 15–90°:
20.92°, I = 36; 22.56°, I = 31; 29.25°, I = 17; 32.79°, I = 100; 33.70°, I = 35; 35.17°, I = 30; 35.67°, I = 50; 42.61°, I = 23; 46.06°, I = 27; 49.51°, I = 27; 61.64°, I = 22; 63.41°, I = 18